No. 1
The following is a simulated powder diffraction line list of TmThRu2. It was derived from DFT lattice parameters and positions (GGA-PBE), using Cu Kα (λ = 1.5418 Å).
Neutral-atom scattering factors, no anomalous dispersion.

Crystal structure
Cell lengths 6.924, 6.924, 6.924 Å; angles 90.00, 90.00, 90.00 degrees
Fractional coordinates of all 16 atoms:
Tm 0.000 0.000 0.000
Tm 0.000 0.500 0.500
Tm 0.500 0.000 0.500
Tm 0.500 0.500 0.000
Th 0.000 0.000 0.500
Th 0.000 0.500 0.000
Th 0.500 0.000 0.000
Th 0.500 0.500 0.500
Ru 0.250 0.250 0.250
Ru 0.250 0.250 0.750
Ru 0.250 0.750 0.250
Ru 0.250 0.750 0.750
Ru 0.750 0.250 0.250
Ru 0.750 0.250 0.750
Ru 0.750 0.750 0.250
Ru 0.750 0.750 0.750

Main lines, by intensity (10 to 90 degrees two-theta):
- 36.71 deg, I = 100
- 66.12 deg, I = 36
- 52.90 deg, I = 18
- 89.53 deg, I = 17
- 25.73 deg, I = 11
- 78.08 deg, I = 11
- 59.73 deg, I = 5
- 45.38 deg, I = 4

No. 2
The following is a simulated powder diffraction line list of YThRu2. It was derived from DFT lattice parameters and positions (GGA-PBE), using Cu Kα (λ = 1.5418 Å).
Neutral-atom scattering factors, no anomalous dispersion.

Crystal structure
Cell lengths 6.977, 6.977, 6.977 Å; angles 90.00, 90.00, 90.00 degrees
Fractional coordinates of all 16 atoms:
Y 0.000 0.000 0.000
Y 0.000 0.500 0.500
Y 0.500 0.000 0.500
Y 0.500 0.500 0.000
Th 0.000 0.000 0.500
Th 0.000 0.500 0.000
Th 0.500 0.000 0.000
Th 0.500 0.500 0.500
Ru 0.250 0.250 0.250
Ru 0.250 0.250 0.750
Ru 0.250 0.750 0.250
Ru 0.250 0.750 0.750
Ru 0.750 0.250 0.250
Ru 0.750 0.250 0.750
Ru 0.750 0.750 0.250
Ru 0.750 0.750 0.750

Main lines, by intensity (10 to 90 degrees two-theta):
- 36.42 deg, I = 100
- 65.55 deg, I = 36
- 52.46 deg, I = 18
- 88.67 deg, I = 16
- 22.07 deg, I = 15
- 77.38 deg, I = 11
- 43.00 deg, I = 8
- 25.54 deg, I = 5

No. 3
The following is a simulated powder diffraction line list of Ti4Ru. It was derived from DFT lattice parameters and positions (GGA-PBE), using Cu Kα (λ = 1.5418 Å).
Neutral-atom scattering factors, no anomalous dispersion.

Crystal structure
Cell lengths 11.306, 11.163, 2.838 Å; angles 85.61, 79.89, 14.49 degrees
Fractional coordinates of all 5 atoms:
Ti 0.090 0.090 0.910
Ti 0.303 0.303 0.697
Ti 0.697 0.697 0.303
Ti 0.910 0.910 0.090
Ru 0.500 0.500 0.500

Main lines, by intensity (10 to 90 degrees two-theta):
- 40.20 deg, I = 100
- 37.92 deg, I = 31
- 40.82 deg, I = 22
- 70.03 deg, I = 17
- 56.93 deg, I = 15
- 16.04 deg, I = 13
- 73.89 deg, I = 11
- 86.83 deg, I = 9

No. 4
The following is a simulated powder diffraction line list of TiVRu2. It was derived from DFT lattice parameters and positions (GGA-PBE), using Cu Kα (λ = 1.5418 Å).
Neutral-atom scattering factors, no anomalous dispersion.

Crystal structure
Cell lengths 6.096, 6.096, 6.096 Å; angles 90.00, 90.00, 90.00 degrees
Fractional coordinates of all 16 atoms:
Ti 0.000 0.000 0.000
Ti 0.000 0.500 0.500
Ti 0.500 0.000 0.500
Ti 0.500 0.500 0.000
V 0.000 0.000 0.500
V 0.000 0.500 0.000
V 0.500 0.000 0.000
V 0.500 0.500 0.500
Ru 0.250 0.250 0.250
Ru 0.250 0.250 0.750
Ru 0.250 0.750 0.250
Ru 0.250 0.750 0.750
Ru 0.750 0.250 0.250
Ru 0.750 0.250 0.750
Ru 0.750 0.750 0.250
Ru 0.750 0.750 0.750

Main lines, by intensity (10 to 90 degrees two-theta):
- 41.92 deg, I = 100
- 76.57 deg, I = 31
- 29.30 deg, I = 17
- 60.78 deg, I = 16
- 68.89 deg, I = 6
- 51.97 deg, I = 5

No. 5
The following is a simulated powder diffraction line list of TmRu3. It was derived from DFT lattice parameters and positions (GGA-PBE), using Cu Kα (λ = 1.5418 Å).
Neutral-atom scattering factors, no anomalous dispersion.

Crystal structure
Cell lengths 4.017, 4.017, 4.017 Å; angles 90.00, 90.00, 90.00 degrees
Fractional coordinates of all 4 atoms:
Tm 0.000 0.000 0.000
Ru 0.000 0.500 0.500
Ru 0.500 0.000 0.500
Ru 0.500 0.500 0.000

Main lines, by intensity (10 to 90 degrees two-theta):
- 38.83 deg, I = 100
- 45.15 deg, I = 49
- 79.08 deg, I = 37
- 65.76 deg, I = 31
- 83.35 deg, I = 11
- 22.13 deg, I = 6
- 31.50 deg, I = 5
- 50.83 deg, I = 3

No. 6
The following is a simulated powder diffraction line list of Tm5Ru2. It was derived from DFT lattice parameters and positions (GGA-PBE), using Cu Kα (λ = 1.5418 Å).
Neutral-atom scattering factors, no anomalous dispersion.

Crystal structure
Cell lengths 8.367, 8.367, 7.242 Å; angles 96.68, 96.68, 43.80 degrees
Fractional coordinates of all 14 atoms:
Tm 0.082 0.918 0.750
Tm 0.141 0.294 0.316
Tm 0.291 0.522 0.084
Tm 0.294 0.141 0.816
Tm 0.478 0.709 0.416
Tm 0.522 0.291 0.584
Tm 0.706 0.859 0.184
Tm 0.709 0.478 0.916
Tm 0.859 0.706 0.684
Tm 0.918 0.082 0.250
Ru 0.103 0.678 0.424
Ru 0.322 0.897 0.076
Ru 0.678 0.103 0.924
Ru 0.897 0.322 0.576

Main lines, by intensity (10 to 90 degrees two-theta):
- 32.41 deg, I = 100
- 31.92 deg, I = 87
- 31.25 deg, I = 83
- 40.07 deg, I = 49
- 28.63 deg, I = 47
- 36.12 deg, I = 45
- 35.30 deg, I = 44
- 38.22 deg, I = 44

No. 7
The following is a simulated powder diffraction line list of TmRu3. It was derived from DFT lattice parameters and positions (GGA-PBE), using Cu Kα (λ = 1.5418 Å).
Neutral-atom scattering factors, no anomalous dispersion.

Crystal structure
Cell lengths 3.984, 3.984, 8.171 Å; angles 90.00, 90.00, 90.00 degrees
Fractional coordinates of all 8 atoms:
Tm 0.000 0.000 0.000
Tm 0.500 0.500 0.500
Ru 0.000 0.000 0.500
Ru 0.000 0.500 0.250
Ru 0.000 0.500 0.750
Ru 0.500 0.000 0.250
Ru 0.500 0.000 0.750
Ru 0.500 0.500 0.000

Main lines, by intensity (10 to 90 degrees two-theta):
- 38.83 deg, I = 100
- 45.54 deg, I = 32
- 79.64 deg, I = 25
- 65.44 deg, I = 21
- 44.34 deg, I = 17
- 77.91 deg, I = 13
- 83.34 deg, I = 11
- 66.37 deg, I = 10

No. 8
The following is a simulated powder diffraction line list of YTmRu2. It was derived from DFT lattice parameters and positions (GGA-PBE), using Cu Kα (λ = 1.5418 Å).
Neutral-atom scattering factors, no anomalous dispersion.

Crystal structure
Cell lengths 6.763, 6.763, 6.763 Å; angles 90.00, 90.00, 90.00 degrees
Fractional coordinates of all 16 atoms:
Y 0.000 0.000 0.000
Y 0.000 0.500 0.500
Y 0.500 0.000 0.500
Y 0.500 0.500 0.000
Tm 0.000 0.000 0.500
Tm 0.000 0.500 0.000
Tm 0.500 0.000 0.000
Tm 0.500 0.500 0.500
Ru 0.250 0.250 0.250
Ru 0.250 0.250 0.750
Ru 0.250 0.750 0.250
Ru 0.250 0.750 0.750
Ru 0.750 0.250 0.250
Ru 0.750 0.250 0.750
Ru 0.750 0.750 0.250
Ru 0.750 0.750 0.750

Main lines, by intensity (10 to 90 degrees two-theta):
- 37.62 deg, I = 100
- 67.89 deg, I = 35
- 54.25 deg, I = 17
- 80.30 deg, I = 11
- 22.77 deg, I = 6
- 44.43 deg, I = 4
- 59.59 deg, I = 2
- 26.36 deg, I = 2

No. 9
The following is a simulated powder diffraction line list of Tm2ZnRu. It was derived from DFT lattice parameters and positions (GGA-PBE), using Cu Kα (λ = 1.5418 Å).
Neutral-atom scattering factors, no anomalous dispersion.

Crystal structure
Cell lengths 6.860, 6.860, 6.860 Å; angles 90.00, 90.00, 90.00 degrees
Fractional coordinates of all 16 atoms:
Tm 0.250 0.250 0.250
Tm 0.250 0.250 0.750
Tm 0.250 0.750 0.250
Tm 0.250 0.750 0.750
Tm 0.750 0.250 0.250
Tm 0.750 0.250 0.750
Tm 0.750 0.750 0.250
Tm 0.750 0.750 0.750
Zn 0.000 0.000 0.000
Zn 0.000 0.500 0.500
Zn 0.500 0.000 0.500
Zn 0.500 0.500 0.000
Ru 0.000 0.000 0.500
Ru 0.000 0.500 0.000
Ru 0.500 0.000 0.000
Ru 0.500 0.500 0.500

Main lines, by intensity (10 to 90 degrees two-theta):
- 37.07 deg, I = 100
- 66.81 deg, I = 35
- 53.42 deg, I = 17
- 25.98 deg, I = 12
- 78.94 deg, I = 11
- 60.34 deg, I = 5
- 45.82 deg, I = 4
- 84.79 deg, I = 3

No. 10
The following is a simulated powder diffraction line list of TmZrRu2. It was derived from DFT lattice parameters and positions (GGA-PBE), using Cu Kα (λ = 1.5418 Å).
Neutral-atom scattering factors, no anomalous dispersion.

Crystal structure
Cell lengths 6.628, 6.628, 6.628 Å; angles 90.00, 90.00, 90.00 degrees
Fractional coordinates of all 16 atoms:
Tm 0.000 0.000 0.000
Tm 0.000 0.500 0.500
Tm 0.500 0.000 0.500
Tm 0.500 0.500 0.000
Zr 0.000 0.000 0.500
Zr 0.000 0.500 0.000
Zr 0.500 0.000 0.000
Zr 0.500 0.500 0.500
Ru 0.250 0.250 0.250
Ru 0.250 0.250 0.750
Ru 0.250 0.750 0.250
Ru 0.250 0.750 0.750
Ru 0.750 0.250 0.250
Ru 0.750 0.250 0.750
Ru 0.750 0.750 0.250
Ru 0.750 0.750 0.750

Main lines, by intensity (10 to 90 degrees two-theta):
- 38.42 deg, I = 100
- 69.48 deg, I = 34
- 55.45 deg, I = 17
- 82.29 deg, I = 11
- 23.25 deg, I = 6
- 45.38 deg, I = 3
- 26.90 deg, I = 2
- 60.93 deg, I = 1

No. 11
The following is a simulated powder diffraction line list of URu3. It was derived from DFT lattice parameters and positions (GGA-PBE), using Cu Kα (λ = 1.5418 Å).
Neutral-atom scattering factors, no anomalous dispersion.

Crystal structure
Cell lengths 4.001, 4.001, 4.001 Å; angles 90.00, 90.00, 90.00 degrees
Fractional coordinates of all 4 atoms:
U 0.000 0.000 0.000
Ru 0.000 0.500 0.500
Ru 0.500 0.000 0.500
Ru 0.500 0.500 0.000

Main lines, by intensity (10 to 90 degrees two-theta):
- 38.99 deg, I = 100
- 45.33 deg, I = 49
- 79.44 deg, I = 38
- 66.05 deg, I = 32
- 22.22 deg, I = 16
- 31.62 deg, I = 14
- 83.74 deg, I = 11
- 51.04 deg, I = 8

No. 12
The following is a simulated powder diffraction line list of UZn20Ru2. It was derived from DFT lattice parameters and positions (GGA-PBE), using Cu Kα (λ = 1.5418 Å).
Neutral-atom scattering factors, no anomalous dispersion.

Crystal structure
Cell lengths 10.070, 10.070, 10.070 Å; angles 60.00, 60.00, 60.00 degrees
Fractional coordinates of all 46 atoms:
U 0.125 0.125 0.125
U 0.875 0.875 0.875
Zn 0.000 0.000 0.000
Zn 0.000 0.000 0.500
Zn 0.000 0.500 0.000
Zn 0.056 0.324 0.324
Zn 0.056 0.324 0.795
Zn 0.056 0.795 0.324
Zn 0.205 0.676 0.676
Zn 0.205 0.676 0.944
Zn 0.205 0.944 0.676
Zn 0.239 0.239 0.511
Zn 0.239 0.511 0.239
Zn 0.239 0.511 0.511
Zn 0.324 0.056 0.324
Zn 0.324 0.056 0.795
Zn 0.324 0.324 0.056
Zn 0.324 0.324 0.795
Zn 0.324 0.795 0.056
Zn 0.324 0.795 0.324
Zn 0.489 0.489 0.761
Zn 0.489 0.761 0.489
Zn 0.489 0.761 0.761
Zn 0.500 0.000 0.000
Zn 0.511 0.239 0.239
Zn 0.511 0.239 0.511
Zn 0.511 0.511 0.239
Zn 0.676 0.205 0.676
Zn 0.676 0.205 0.944
Zn 0.676 0.676 0.205
Zn 0.676 0.676 0.944
Zn 0.676 0.944 0.205
Zn 0.676 0.944 0.676
Zn 0.761 0.489 0.489
Zn 0.761 0.489 0.761
Zn 0.761 0.761 0.489
Zn 0.795 0.056 0.324
Zn 0.795 0.324 0.056
Zn 0.795 0.324 0.324
Zn 0.944 0.205 0.676
Zn 0.944 0.676 0.205
Zn 0.944 0.676 0.676
Ru 0.000 0.500 0.500
Ru 0.500 0.000 0.500
Ru 0.500 0.500 0.000
Ru 0.500 0.500 0.500

Main lines, by intensity (10 to 90 degrees two-theta):
- 37.36 deg, I = 100
- 41.58 deg, I = 91
- 42.09 deg, I = 81
- 40.04 deg, I = 56
- 75.54 deg, I = 46
- 20.69 deg, I = 35
- 54.69 deg, I = 35
- 35.66 deg, I = 29

No. 13
The following is a simulated powder diffraction line list of V4Ru. It was derived from DFT lattice parameters and positions (GGA-PBE), using Cu Kα (λ = 1.5418 Å).
Neutral-atom scattering factors, no anomalous dispersion.

Crystal structure
Cell lengths 10.490, 10.366, 2.663 Å; angles 85.31, 80.03, 14.66 degrees
Fractional coordinates of all 5 atoms:
V 0.101 0.101 0.899
V 0.300 0.300 0.700
V 0.700 0.700 0.300
V 0.899 0.899 0.101
Ru 0.500 0.500 0.500

Main lines, by intensity (10 to 90 degrees two-theta):
- 42.58 deg, I = 100
- 41.04 deg, I = 28
- 61.82 deg, I = 23
- 44.15 deg, I = 22
- 75.83 deg, I = 16
- 80.13 deg, I = 14
- 76.85 deg, I = 8
- 17.29 deg, I = 7

No. 14
The following is a simulated powder diffraction line list of V3Ru. It was derived from DFT lattice parameters and positions (GGA-PBE), using Cu Kα (λ = 1.5418 Å).
Neutral-atom scattering factors, no anomalous dispersion.

Crystal structure
Cell lengths 5.987, 5.987, 5.987 Å; angles 90.00, 90.00, 90.00 degrees
Fractional coordinates of all 16 atoms:
V 0.000 0.000 0.000
V 0.000 0.500 0.500
V 0.250 0.250 0.250
V 0.250 0.250 0.750
V 0.250 0.750 0.250
V 0.250 0.750 0.750
V 0.500 0.000 0.500
V 0.500 0.500 0.000
V 0.750 0.250 0.250
V 0.750 0.250 0.750
V 0.750 0.750 0.250
V 0.750 0.750 0.750
Ru 0.000 0.000 0.500
Ru 0.000 0.500 0.000
Ru 0.500 0.000 0.000
Ru 0.500 0.500 0.500

Main lines, by intensity (10 to 90 degrees two-theta):
- 42.72 deg, I = 100
- 78.22 deg, I = 30
- 62.00 deg, I = 15
- 25.77 deg, I = 11
- 29.85 deg, I = 6
- 50.56 deg, I = 6
- 68.29 deg, I = 2
- 70.32 deg, I = 2

No. 15
The following is a simulated powder diffraction line list of VRu4. It was derived from DFT lattice parameters and positions (GGA-PBE), using Cu Kα (λ = 1.5418 Å).
Neutral-atom scattering factors, no anomalous dispersion.

Crystal structure
Cell lengths 11.234, 11.093, 2.675 Å; angles 86.13, 80.13, 13.74 degrees
Fractional coordinates of all 5 atoms:
V 0.000 0.000 0.000
Ru 0.200 0.200 0.800
Ru 0.407 0.407 0.593
Ru 0.593 0.593 0.407
Ru 0.800 0.800 0.200

Main lines, by intensity (10 to 90 degrees two-theta):
- 42.89 deg, I = 100
- 39.72 deg, I = 32
- 41.02 deg, I = 27
- 74.27 deg, I = 19
- 58.42 deg, I = 18
- 76.02 deg, I = 15
- 79.86 deg, I = 8
- 80.71 deg, I = 7